The following is a theoretical X-ray diffraction stick pattern of YMo8. It was derived from a cell relaxed with PBE, using CuKα.

Peak list (10 most intense, 2θ = 10–80°, low angle first)
15.5 deg, I 2, hkl 1 1 0; 31.3 deg, I 1, hkl 2 2 0; 37.9 deg, I 27, hkl 0 0 2; 38.4 deg, I 100, hkl 3 0 1; 47.7 deg, I 25, hkl 3 3 0; 50.3 deg, I 2, hkl 4 1 1; 62.5 deg, I 22, hkl 3 3 2; 65.2 deg, I 2, hkl 5 2 1; 68.9 deg, I 17, hkl 3 0 3; 69.8 deg, I 7, hkl 6 0 0

Cell and atoms:
Cell: 8.087 8.087 4.742 Å, 90.00 90.00 90.00°
Space group I4/mmm (No. 139)
Unique sites:
Y  0.000  0.000  0.000 x2
Mo  0.000  0.347  0.000 x8
Mo  0.177  0.177  0.500 x8

The following is a theoretical X-ray diffraction stick pattern of YMo5. It was derived from a cell relaxed with PBE, using CuKα.

Peak list (10 most intense, 2θ = 10–80°, low angle first)
18.6 deg, I 25, hkl 1 0 0; 32.5 deg, I 20, hkl 1 1 0; 37.7 deg, I 30, hkl 2 0 0; 38.7 deg, I 100, hkl 1 1 1; 41.5 deg, I 31, hkl 0 0 2; 43.3 deg, I 44, hkl 2 0 1; 57.3 deg, I 17, hkl 2 0 2; 62.2 deg, I 24, hkl 3 0 1; 68.2 deg, I 21, hkl 2 2 0; 73.8 deg, I 18, hkl 1 1 3

Cell and atoms:
Cell: 5.5038 5.5038 4.3558 Å, 90.00 90.00 120.00°
Space group P6/mmm (No. 191)
Unique sites:
Y  0.0000  0.0000  0.0000 x1
Mo  0.0000  0.5000  0.5000 x3
Mo  0.3333  0.6667  0.0000 x2

The following is a theoretical X-ray diffraction stick pattern of Y5Mo. It was derived from a cell relaxed with PBE, using CuKα.

Peak list (10 most intense, 2θ = 10–80°, low angle first)
29.6 deg, I 25, hkl 1 1 0; 33.7 deg, I 24, hkl 0 0 2; 34.1 deg, I 100, hkl 1 1 1; 45.4 deg, I 15, hkl 1 1 2; 52.5 deg, I 18, hkl 3 0 0; 60.5 deg, I 18, hkl 1 1 3; 63.8 deg, I 19, hkl 3 0 2; 64.1 deg, I 15, hkl 2 2 1; 71.9 deg, I 3, hkl 2 2 2; 78.5 deg, I 3, hkl 1 1 4

Cell and atoms:
Cell: 6.0417 6.0417 5.3254 Å, 90.00 90.00 120.00°
Space group P-62m (No. 189)
Unique sites:
Y  0.0000  0.3069  0.0000 x3
Y  0.3333  0.6667  0.5000 x2
Mo  0.0000  0.0000  0.5000 x1

The following is a theoretical X-ray diffraction stick pattern of Zn6Mo. It was derived from a cell relaxed with PBE, using CuKα.

Peak list (10 most intense, 2θ = 10–80°, low angle first)
19.9 deg, I 22, hkl 1 1 1; 23.1 deg, I 2, hkl 2 0 0; 32.9 deg, I 2, hkl 2 2 0; 38.7 deg, I 12, hkl 3 1 1; 40.5 deg, I 100, hkl 2 2 2; 47.1 deg, I 48, hkl 4 0 0; 51.7 deg, I 5, hkl 3 3 1; 62.6 deg, I 4, hkl 5 1 1; 68.9 deg, I 29, hkl 4 4 0; 72.5 deg, I 4, hkl 5 3 1

Cell and atoms:
Cell: 7.710 7.710 7.710 Å, 90.00 90.00 90.00°
Space group Fm-3m (No. 225)
Unique sites:
Zn  0.000  0.250  0.250 x24
Mo  0.000  0.000  0.000 x4

The following is a theoretical X-ray diffraction stick pattern of Zn3Mo2. It was derived from a cell relaxed with PBE, using CuKα.

Peak list (10 most intense, 2θ = 10–80°, low angle first)
35.6 deg, I 21, hkl 3 1 1; 38.0 deg, I 22, hkl 0 2 2; 40.6 deg, I 100, hkl 1 5 1; 40.7 deg, I 50, hkl 2 0 2; 40.9 deg, I 53, hkl 3 3 1; 42.8 deg, I 45, hkl 4 2 0; 43.2 deg, I 43, hkl 2 2 2; 50.1 deg, I 16, hkl 3 5 1; 54.1 deg, I 12, hkl 1 7 1; 77.2 deg, I 16, hkl 2 10 0

Cell and atoms:
Cell: 8.948 12.855 5.099 Å, 90.00 90.00 90.00°
Space group Fdd2 (No. 43)
Unique sites:
Zn  0.000  0.000  0.000 x8
Zn  0.064  0.388  0.110 x16
Mo  0.059  0.303  0.626 x16

The following is a theoretical X-ray diffraction stick pattern of Zn3Mo5. It was derived from a cell relaxed with PBE, using CuKα.

Peak list (10 most intense, 2θ = 10–80°, low angle first)
36.0 deg, I 21, hkl 0 4 0; 37.0 deg, I 19, hkl 2 0 -2; 37.4 deg, I 33, hkl 3 3 -1; 40.4 deg, I 54, hkl 2 4 0; 41.3 deg, I 42, hkl 4 0 -2; 41.7 deg, I 100, hkl 2 4 -1; 45.3 deg, I 43, hkl 0 2 2; 69.9 deg, I 20, hkl 7 1 -3; 79.1 deg, I 14, hkl 2 8 0; 79.7 deg, I 14, hkl 2 6 2

Cell and atoms:
Cell: 11.098 9.979 4.857 Å, 90.00 115.90 90.00°
Space group C2/c (No. 15)
Unique sites:
Zn  0.000  0.001  0.250 x4
Zn  0.173  0.327  0.671 x8
Mo  0.000  0.500  0.250 x4
Mo  0.070  0.231  0.067 x8
Mo  0.231  0.070  0.733 x8

The following is a theoretical X-ray diffraction stick pattern of ZnMo3. It was derived from a cell relaxed with PBE, using CuKα.

Peak list (10 most intense, 2θ = 10–80°, low angle first)
37.9 deg, I 30, hkl 1 0 2; 38.7 deg, I 100, hkl 2 2 0; 39.4 deg, I 53, hkl 1 1 2; 42.1 deg, I 47, hkl 0 4 0; 42.5 deg, I 12, hkl 2 2 1; 43.6 deg, I 58, hkl 1 2 2; 49.9 deg, I 21, hkl 1 3 2; 57.9 deg, I 15, hkl 1 4 2; 74.6 deg, I 12, hkl 2 6 0; 77.2 deg, I 12, hkl 3 4 2

Cell and atoms:
Cell: 5.538 8.594 5.253 Å, 90.00 90.00 90.00°
Space group Pnma (No. 62)
Unique sites:
Zn  0.075  0.250  0.138 x4
Mo  0.022  0.750  0.356 x4
Mo  0.232  0.512  0.889 x8

The following is a theoretical X-ray diffraction stick pattern of Na6NbN4. It was derived from a cell relaxed with PBE, using CuKα.

Peak list (10 most intense, 2θ = 10–80°, low angle first)
16.4 deg, I 40, hkl 1 1 0; 19.1 deg, I 95, hkl 1 0 1; 30.3 deg, I 100, hkl 2 1 1; 30.6 deg, I 27, hkl 0 0 2; 33.1 deg, I 44, hkl 2 2 0; 34.9 deg, I 26, hkl 1 1 2; 38.5 deg, I 66, hkl 3 0 1; 45.7 deg, I 50, hkl 2 2 2; 47.5 deg, I 30, hkl 4 0 0; 54.2 deg, I 29, hkl 2 1 3

Cell and atoms:
Cell: 7.655 7.655 5.840 Å, 90.00 90.00 90.00°
Space group P4_2/nmc (No. 137, origin choice 2)
Unique sites:
Na  0.045  0.545  0.250 x8
Na  0.250  0.250  0.129 x4
Nb  0.250  0.750  0.750 x2
N  0.026  0.750  0.573 x8

Question: Number 6 is which compound?
Answer: Zn3Mo5

Question: Which formula does entry 5 have?
Answer: Zn3Mo2